This entry pairs a crystal structure of Ba2LuMgSbO6 with its computed PXRD pattern. Radiation: Cu Ka. Structure: a GGA-PBE-relaxed structure.

Main lines, low angle first (15 to 90 degrees two-theta):
2θ (°), d_spacing, I (rel.)
18.99, 4.673, 47
24.93, 3.571, 30
28.63, 3.118, 49
28.90, 3.089, 100
36.85, 2.439, 23
38.54, 2.336, 20
40.61, 2.222, 29
51.05, 1.789, 20
51.22, 1.783, 21
59.89, 1.544, 18

Atomic structure:
```
11
Lattice="5.3506 -3.0886 0.0000 5.3506 3.0886 0.0000 -3.5804 0.0000 6.3952" Properties=species:S:1:pos:R:3 pbc="T T T"
Ba 0.0000 0.0000 0.0000
Ba 3.5586 0.0000 4.1158
Lu 7.1413 0.0000 1.1629
Mg -0.0130 0.0000 6.2291
Sb 0.0070 0.0000 3.3497
O 6.2246 1.6259 2.3774
O 4.3892 1.4448 6.1105
O 1.8863 0.0000 6.1247
O 4.3892 -1.4448 6.1105
O 9.0390 0.0000 2.3270
O 6.2246 -1.6259 2.3774
```